[1]
Starting from a crystal structure in Alexandria, relaxed with GGA-PBE, the X-ray powder pattern of Hf2H3N was simulated for λ = 1.5418 Å (Cu Kα).
Lines closer than 0.1° are merged.

Top 5 peaks for 2θ from 5° to 70°, in order of rising 2θ:
| 2θ/deg | Rel. int. |
| --- | --- |
| 31.7 | 100.0 |
| 36.7 | 45.7 |
| 52.9 | 38.8 |
| 63.0 | 42.6 |
| 66.1 | 11.5 |

Structure:
Cell lengths 4.895, 4.895, 4.895 Å; angles 90.00, 90.00, 90.00 degrees
Element x y z (fractional)
Hf: 0.000 0.000 0.000
Hf: 0.000 0.500 0.500
Hf: 0.500 0.000 0.500
Hf: 0.500 0.500 0.000
H: 0.250 0.250 0.750
H: 0.250 0.750 0.250
H: 0.250 0.750 0.750
H: 0.750 0.250 0.250
H: 0.750 0.250 0.750
H: 0.750 0.750 0.250
N: 0.250 0.250 0.250
N: 0.750 0.750 0.750



[2]
Starting from a crystal structure in Alexandria, relaxed with GGA-PBE, the X-ray powder pattern of Dy7Y4Th was simulated for λ = 1.5418 Å (Cu Kα).
Lines closer than 0.1° are merged.

Top 6 peaks for 2θ from 5° to 70°, in order of rising 2θ:
| 2θ/deg | Rel. int. |
| --- | --- |
| 30.1 | 100.0 |
| 30.7 | 91.2 |
| 32.8 | 94.1 |
| 33.5 | 62.7 |
| 33.7 | 59.4 |
| 43.6 | 70.5 |

Structure:
Cell lengths 6.723, 6.723, 12.632 Å; angles 115.07, 115.07, 52.35 degrees
Element x y z (fractional)
Dy: 0.000 0.000 0.000
Dy: 0.210 0.210 0.923
Dy: 0.237 0.237 0.677
Dy: 0.369 0.369 0.501
Dy: 0.631 0.631 0.499
Dy: 0.763 0.763 0.323
Dy: 0.790 0.790 0.077
Y: 0.065 0.065 0.318
Y: 0.359 0.359 0.224
Y: 0.641 0.641 0.776
Y: 0.935 0.935 0.682
Th: 0.500 0.500 0.000



[3]
Starting from a crystal structure in Alexandria, relaxed with GGA-PBE, the X-ray powder pattern of PaCuSbN was simulated for λ = 1.5418 Å (Cu Kα).
Lines closer than 0.1° are merged.

Top 6 peaks for 2θ from 5° to 70°, in order of rising 2θ:
| 2θ/deg | Rel. int. |
| --- | --- |
| 29.9 | 100.0 |
| 31.7 | 31.2 |
| 33.3 | 21.9 |
| 37.5 | 22.3 |
| 45.4 | 30.8 |
| 55.4 | 39.2 |

Structure:
Cell lengths 3.992, 3.992, 9.011 Å; angles 90.00, 90.00, 90.00 degrees
Element x y z (fractional)
Pa: 0.250 0.250 0.130
Pa: 0.750 0.750 0.870
Cu: 0.250 0.750 0.500
Cu: 0.750 0.250 0.500
Sb: 0.250 0.250 0.690
Sb: 0.750 0.750 0.310
N: 0.250 0.750 0.000
N: 0.750 0.250 0.000